Entry 1:
This entry pairs a crystal structure of Li2TeSe with its calculated powder XRD pattern. Radiation: copper Kα. Structure: a DFT-relaxed cell (GGA-PBE, Alexandria).
Peak positions follow from Bragg's law for the DFT cell and can differ from measured ones.

Peak list (10 most intense, 2θ from 10° to 90°, sorted by position)
d_spacing, two_theta, Rel. int.
4.031, 22.1, 73
3.170, 28.2, 79
2.508, 35.8, 25
2.492, 36.0, 100
2.130, 42.4, 26
2.045, 44.3, 14
1.823, 50.0, 16
1.701, 53.9, 25
1.475, 63.0, 16
1.445, 64.5, 18

Cell lengths 4.031, 4.089, 5.017 Å; angles 90.00, 90.00, 90.00 degrees
Fractional positions:
Li  0.000  0.000  0.000
Li  0.000  0.500  0.500
Te  0.500  0.000  0.500
Se  0.500  0.500  0.000



Entry 2:
This entry pairs a crystal structure of LiTlTeSe2 with its calculated powder XRD pattern. Radiation: copper Kα. Structure: a DFT-relaxed cell (GGA-PBE, Alexandria).
Peak positions follow from Bragg's law for the DFT cell and can differ from measured ones.

Peak list (10 most intense, 2θ from 10° to 90°, sorted by position)
d_spacing, two_theta, Rel. int.
3.747, 23.7, 89
2.986, 29.9, 28
2.848, 31.4, 26
2.798, 32.0, 100
2.779, 32.2, 98
2.181, 41.4, 26
2.155, 41.9, 27
1.930, 47.1, 28
1.813, 50.3, 24
1.707, 53.7, 46

Cell lengths 8.286, 7.589, 4.308 Å; angles 90.00, 90.00, 90.00 degrees
Fractional positions:
Li  0.000  0.000  0.000
Li  0.500  0.000  0.000
Tl  0.250  0.500  0.003
Tl  0.750  0.500  0.997
Te  0.250  0.000  0.500
Te  0.750  0.000  0.500
Se  0.000  0.259  0.500
Se  0.000  0.741  0.500
Se  0.500  0.259  0.500
Se  0.500  0.741  0.500



Entry 3:
This entry pairs a crystal structure of LiTh3Tl3Se8 with its calculated powder XRD pattern. Radiation: copper Kα. Structure: a DFT-relaxed cell (GGA-PBE, Alexandria).
Peak positions follow from Bragg's law for the DFT cell and can differ from measured ones.

Peak list (10 most intense, 2θ from 10° to 90°, sorted by position)
d_spacing, two_theta, Rel. int.
6.246, 14.2, 26
4.571, 19.4, 13
3.528, 25.2, 16
3.123, 28.6, 100
2.286, 39.4, 37
2.138, 42.3, 37
1.764, 51.8, 21
1.561, 59.2, 11
1.435, 65.0, 14
1.361, 69.0, 17

Cell lengths 9.186, 9.186, 9.186 Å; angles 55.48, 55.48, 55.48 degrees
Fractional positions:
Li  0.000  0.000  0.000
Th  0.000  0.500  0.500
Th  0.500  0.000  0.500
Th  0.500  0.500  0.000
Tl  0.000  0.000  0.500
Tl  0.000  0.500  0.000
Tl  0.500  0.000  0.000
Se  0.236  0.236  0.727
Se  0.236  0.727  0.236
Se  0.262  0.262  0.262
Se  0.273  0.764  0.764
Se  0.727  0.236  0.236
Se  0.738  0.738  0.738
Se  0.764  0.273  0.764
Se  0.764  0.764  0.273



Entry 4:
This entry pairs a crystal structure of Li2UTiSe4 with its calculated powder XRD pattern. Radiation: copper Kα. Structure: a DFT-relaxed cell (GGA-PBE, Alexandria).
Peak positions follow from Bragg's law for the DFT cell and can differ from measured ones.

Peak list (10 most intense, 2θ from 10° to 90°, sorted by position)
d_spacing, two_theta, Rel. int.
6.570, 13.5, 77
6.304, 14.0, 18
5.506, 16.1, 22
3.309, 26.9, 30
2.775, 32.3, 100
2.753, 32.5, 49
2.507, 35.8, 19
1.984, 45.7, 56
1.925, 47.2, 33
1.588, 58.1, 18

Cell lengths 6.649, 3.888, 6.929 Å; angles 90.00, 108.53, 90.00 degrees
Fractional positions:
Li  0.000  0.000  0.000
Li  0.500  0.500  0.000
U  0.000  0.500  0.500
Ti  0.500  0.000  0.500
Se  0.268  0.000  0.756
Se  0.269  0.500  0.258
Se  0.731  0.500  0.742
Se  0.732  0.000  0.244



Entry 5:
This entry pairs a crystal structure of Li3Y3TiSe8 with its calculated powder XRD pattern. Radiation: copper Kα. Structure: a DFT-relaxed cell (GGA-PBE, Alexandria).
Peak positions follow from Bragg's law for the DFT cell and can differ from measured ones.

Peak list (10 most intense, 2θ from 10° to 90°, sorted by position)
d_spacing, two_theta, Rel. int.
6.489, 13.6, 32
3.410, 26.1, 17
3.264, 27.3, 13
2.822, 31.7, 100
2.000, 45.3, 34
1.991, 45.6, 35
1.632, 56.4, 17
1.411, 66.2, 10
1.264, 75.1, 13
1.260, 75.5, 14

Cell lengths 7.965, 7.965, 7.965 Å; angles 60.29, 60.29, 60.29 degrees
Fractional positions:
Li  0.000  0.500  0.500
Li  0.500  0.000  0.500
Li  0.500  0.500  0.000
Y  0.000  0.000  0.500
Y  0.000  0.500  0.000
Y  0.500  0.000  0.000
Ti  0.500  0.500  0.500
Se  0.252  0.252  0.252
Se  0.267  0.267  0.727
Se  0.267  0.727  0.267
Se  0.273  0.733  0.733
Se  0.727  0.267  0.267
Se  0.733  0.273  0.733
Se  0.733  0.733  0.273
Se  0.748  0.748  0.748



Entry 6:
This entry pairs a crystal structure of Li2TlSe with its calculated powder XRD pattern. Radiation: copper Kα. Structure: a DFT-relaxed cell (GGA-PBE, Alexandria).
Peak positions follow from Bragg's law for the DFT cell and can differ from measured ones.

Peak list (10 most intense, 2θ from 10° to 90°, sorted by position)
d_spacing, two_theta, Rel. int.
6.414, 13.8, 27
3.422, 26.0, 62
3.210, 27.8, 100
2.866, 31.2, 54
2.740, 32.7, 24
2.027, 44.7, 21
1.937, 46.9, 17
1.774, 51.5, 14
1.715, 53.4, 19
1.605, 57.4, 14

Cell lengths 4.067, 4.067, 6.665 Å; angles 103.74, 103.74, 58.32 degrees
Fractional positions:
Li  0.208  0.208  0.142
Li  0.792  0.792  0.858
Tl  0.000  0.000  0.500
Se  0.500  0.500  0.000



Entry 7:
This entry pairs a crystal structure of LiTm3Se4 with its calculated powder XRD pattern. Radiation: copper Kα. Structure: a DFT-relaxed cell (GGA-PBE, Alexandria).
Peak positions follow from Bragg's law for the DFT cell and can differ from measured ones.

Peak list (10 most intense, 2θ from 10° to 90°, sorted by position)
d_spacing, two_theta, Rel. int.
8.233, 10.7, 52
4.794, 18.5, 44
4.117, 21.6, 73
3.991, 22.3, 71
2.854, 31.3, 74
2.817, 31.8, 100
2.352, 38.3, 44
2.301, 39.1, 32
2.005, 45.2, 59
1.805, 50.6, 39

Cell lengths 5.634, 9.126, 8.233 Å; angles 90.00, 90.00, 90.00 degrees
Fractional positions:
Li  0.250  0.250  0.105
Li  0.750  0.750  0.895
Tm  0.250  0.540  0.660
Tm  0.250  0.750  0.247
Tm  0.250  0.960  0.660
Tm  0.750  0.040  0.340
Tm  0.750  0.250  0.753
Tm  0.750  0.460  0.340
Se  0.250  0.045  0.333
Se  0.250  0.250  0.781
Se  0.250  0.455  0.333
Se  0.250  0.750  0.905
Se  0.750  0.250  0.095
Se  0.750  0.545  0.667
Se  0.750  0.750  0.219
Se  0.750  0.955  0.667



Entry 8:
This entry pairs a crystal structure of LiTm4Se6 with its calculated powder XRD pattern. Radiation: copper Kα. Structure: a DFT-relaxed cell (GGA-PBE, Alexandria).
Peak positions follow from Bragg's law for the DFT cell and can differ from measured ones.

Peak list (10 most intense, 2θ from 10° to 90°, sorted by position)
d_spacing, two_theta, Rel. int.
3.942, 22.6, 47
3.492, 25.5, 40
3.258, 27.4, 39
3.232, 27.6, 38
2.754, 32.5, 41
2.657, 33.7, 100
2.475, 36.3, 40
2.382, 37.8, 83
2.126, 42.5, 37
1.367, 68.7, 34

Cell lengths 7.888, 7.888, 7.888 Å; angles 91.36, 91.36, 91.36 degrees
Fractional positions:
Li  0.000  0.000  0.000
Li  0.500  0.500  0.500
Tm  0.140  0.750  0.360
Tm  0.250  0.250  0.250
Tm  0.250  0.640  0.860
Tm  0.360  0.140  0.750
Tm  0.640  0.860  0.250
Tm  0.750  0.360  0.140
Tm  0.750  0.750  0.750
Tm  0.860  0.250  0.640
Se  0.059  0.914  0.683
Se  0.086  0.317  0.941
Se  0.183  0.414  0.559
Se  0.317  0.941  0.086
Se  0.414  0.559  0.183
Se  0.441  0.817  0.586
Se  0.559  0.183  0.414
Se  0.586  0.441  0.817
Se  0.683  0.059  0.914
Se  0.817  0.586  0.441
Se  0.914  0.683  0.059
Se  0.941  0.086  0.317



Entry 9:
This entry pairs a crystal structure of LiTm2Se3 with its calculated powder XRD pattern. Radiation: copper Kα. Structure: a DFT-relaxed cell (GGA-PBE, Alexandria).
Peak positions follow from Bragg's law for the DFT cell and can differ from measured ones.

Peak list (10 most intense, 2θ from 10° to 90°, sorted by position)
d_spacing, two_theta, Rel. int.
8.490, 10.4, 26
4.245, 20.9, 11
3.895, 22.8, 27
2.830, 31.6, 100
2.354, 38.2, 10
2.001, 45.3, 73
1.634, 56.3, 25
1.415, 66.0, 12
1.265, 75.1, 32
1.155, 83.7, 24

Cell lengths 8.949, 8.949, 8.949 Å; angles 154.16, 154.16, 36.86 degrees
Fractional positions:
Li  0.000  0.000  0.000
Tm  0.340  0.340  0.000
Tm  0.660  0.660  0.000
Se  0.168  0.168  0.000
Se  0.500  0.500  0.000
Se  0.832  0.832  0.000



Entry 10:
This entry pairs a crystal structure of LiTm4Se4 with its calculated powder XRD pattern. Radiation: copper Kα. Structure: a DFT-relaxed cell (GGA-PBE, Alexandria).
Peak positions follow from Bragg's law for the DFT cell and can differ from measured ones.

Peak list (10 most intense, 2θ from 10° to 90°, sorted by position)
d_spacing, two_theta, Rel. int.
6.197, 14.3, 29
4.382, 20.3, 17
3.215, 27.8, 36
3.098, 28.8, 12
2.810, 31.8, 47
2.771, 32.3, 100
1.973, 46.0, 75
1.960, 46.3, 33
1.607, 57.3, 35
1.253, 75.9, 17

Cell lengths 6.800, 6.800, 8.757 Å; angles 130.01, 130.01, 48.83 degrees
Fractional positions:
Li  0.000  0.000  0.000
Tm  0.206  0.206  0.610
Tm  0.404  0.404  0.197
Tm  0.596  0.596  0.803
Tm  0.794  0.794  0.390
Se  0.093  0.093  0.802
Se  0.291  0.291  0.383
Se  0.709  0.709  0.617
Se  0.907  0.907  0.198



Entry 11:
This entry pairs a crystal structure of LiTmUSe3 with its calculated powder XRD pattern. Radiation: copper Kα. Structure: a DFT-relaxed cell (GGA-PBE, Alexandria).
Peak positions follow from Bragg's law for the DFT cell and can differ from measured ones.

Peak list (10 most intense, 2θ from 10° to 90°, sorted by position)
d_spacing, two_theta, Rel. int.
8.500, 10.4, 31
4.250, 20.9, 21
4.074, 21.8, 29
3.546, 25.1, 21
2.833, 31.6, 34
2.818, 31.8, 100
2.187, 41.3, 53
2.098, 43.1, 19
1.950, 46.6, 20
1.429, 65.3, 19

Cell lengths 8.392, 3.902, 8.755 Å; angles 90.00, 103.85, 90.00 degrees
Fractional positions:
Li  0.086  0.250  0.080
Li  0.914  0.750  0.920
Tm  0.334  0.750  0.336
Tm  0.666  0.250  0.664
U  0.178  0.250  0.714
U  0.822  0.750  0.286
Se  0.098  0.250  0.365
Se  0.227  0.750  0.994
Se  0.428  0.750  0.672
Se  0.572  0.250  0.328
Se  0.773  0.250  0.006
Se  0.902  0.750  0.635



Entry 12:
This entry pairs a crystal structure of LiUSe2 with its calculated powder XRD pattern. Radiation: copper Kα. Structure: a DFT-relaxed cell (GGA-PBE, Alexandria).
Peak positions follow from Bragg's law for the DFT cell and can differ from measured ones.

Peak list (10 most intense, 2θ from 10° to 90°, sorted by position)
d_spacing, two_theta, Rel. int.
6.970, 12.7, 100
3.322, 26.8, 51
3.203, 27.9, 47
2.829, 31.6, 70
2.621, 34.2, 78
2.234, 40.4, 42
2.064, 43.9, 22
1.942, 46.8, 45
1.871, 48.7, 23
1.297, 72.9, 23

Cell lengths 7.322, 7.322, 7.322 Å; angles 30.77, 30.77, 30.77 degrees
Fractional positions:
Li  0.000  0.000  0.000
U  0.829  0.829  0.829
Se  0.407  0.407  0.407
Se  0.584  0.584  0.584